This entry pairs a crystal structure of SnH14C4N2Cl4 with its simulated X-ray powder pattern. Radiation: λ = 1.5418 Å (Cu Kα). Structure: a DFT-relaxed cell (PBE, the Materials Project).
Peak positions follow from Bragg's law for the DFT cell and can differ from measured ones.

Atomic structure:
```
50
Lattice="6.6899 0.0000 0.0000 0.0000 8.5844 0.0000 -4.8217 0.0000 12.1092" Properties=species:S:1:pos:R:3 pbc="T T T"
Sn 0.0000 0.0000 0.0000
Sn -2.4108 4.2922 6.0546
H -1.9438 1.0158 7.0918
H 0.4671 3.2764 1.0372
H -1.2124 1.2589 5.4751
H -3.6232 3.0333 11.5297
H 1.0557 1.6707 2.8637
H -1.3552 2.6215 8.9183
H 2.3727 1.1543 0.2782
H -0.0381 3.1379 6.3329
H -0.1764 0.8097 6.8679
H 2.2344 3.4825 0.8133
H 1.4822 6.2048 3.5663
H -0.9286 6.6718 9.6209
H 2.0933 0.2674 2.4692
H -0.3176 4.0248 8.5238
H 2.1858 4.5596 3.5855
H -0.2250 8.3170 9.6401
H 2.7969 1.9126 2.4884
H 0.3860 2.3796 8.5430
H -0.3662 5.1019 11.2959
H 2.0447 7.7747 5.2413
H 1.9064 5.4465 5.7764
H -0.5044 7.4301 11.8310
H 3.2234 5.9629 3.1910
H 0.8126 6.9137 9.2456
H 5.4915 5.5511 0.5795
H 3.0807 7.3255 6.6342
H 1.4012 5.3080 11.0720
H 3.8120 7.5686 5.0174
C -1.0603 1.3814 6.5534
C 1.3506 2.9108 0.4988
C 1.8973 1.3204 2.2580
C -0.5136 2.9718 8.3126
C 2.3818 5.6126 3.7966
C -0.0290 7.2640 9.8512
C 0.5177 5.6736 11.6104
C 2.9285 7.2030 5.5558
N 1.5642 1.4843 0.8233
N -0.8467 2.8079 6.8779
N 2.7149 5.7765 5.2313
N 0.3041 7.1001 11.2859
Cl -3.9284 0.5325 9.9024
Cl -1.5176 3.7597 3.8478
Cl -0.6684 6.0232 6.3355
Cl 1.7425 6.8534 0.2808
Cl 0.1258 1.7310 11.8284
Cl 2.5366 2.5612 5.7738
Cl 3.3858 4.8247 8.2615
Cl 5.7967 8.0519 2.2068
```

Peak list (12 most intense, 10° ≤ 2θ ≤ 80°, most intense first)
2θ (°)  Rel. int.  h k l
12.64  100  0 1 1
16.93  36  1 1 -1
14.63  34  0 0 2
14.25  27  1 0 0
25.22  25  1 2 0
16.22  21  1 0 -2
35.67  16  2 2 0
21.04  15  1 1 1
34.20  14  2 2 -2
41.65  13  1 0 -6
29.51  12  0 0 4
38.62  10  0 1 5